No. 1
For MgW2O4, a structure optimized by DFT (GGA+U) gives the calculated powder XRD pattern in this record (CuKα).
Kinematic intensities with the Lorentz-polarization factor, no thermal factor.

Cell and atoms:
Lattice parameters (Å, degrees): 6.3341 6.3341 15.5209 91.04 91.04 61.68
Sites, in units of the cell vectors:
Mg 0.0000 0.0000 0.0000
Mg 0.0034 0.0034 0.6164
Mg 0.1652 0.1652 0.1652
Mg 0.3289 0.3289 0.3324
Mg 0.4946 0.4946 0.5003
Mg 0.8423 0.8423 0.8279
W 0.0023 0.4894 0.4947
W 0.1683 0.6585 0.1677
W 0.3338 0.3338 0.7272
W 0.3377 0.8414 0.8291
W 0.3425 0.3425 0.9184
W 0.4894 0.0023 0.4947
W 0.6585 0.1683 0.1677
W 0.6599 0.6599 0.0711
W 0.6686 0.6686 0.6553
W 0.7036 0.7036 0.2995
W 0.8414 0.3377 0.8291
W 0.9559 0.9559 0.3650
O 0.0002 0.0002 0.7534
O 0.0066 0.0066 0.2404
O 0.0159 0.4735 0.2434
O 0.1563 0.7030 0.9120
O 0.1567 0.1567 0.9151
O 0.1740 0.1740 0.4124
O 0.1880 0.6420 0.4187
O 0.2997 0.8461 0.0837
O 0.3280 0.3280 0.0952
O 0.3311 0.3311 0.5738
O 0.3499 0.8211 0.5762
O 0.4735 0.0159 0.2434
O 0.4790 0.4790 0.2493
O 0.5164 0.9781 0.7419
O 0.5174 0.5174 0.7445
O 0.6420 0.1880 0.4187
O 0.6542 0.6542 0.4233
O 0.6808 0.6808 0.8922
O 0.7030 0.1563 0.9120
O 0.8211 0.3499 0.5762
O 0.8253 0.8253 0.5726
O 0.8452 0.8452 0.0814
O 0.8461 0.2997 0.0837
O 0.9781 0.5164 0.7419

Principal peaks in the range 10° ≤ 2θ ≤ 80°, by angle:
- 17.4°, I 46
- 28.2°, I 51
- 28.5°, I 56
- 32.6°, I 100
- 32.7°, I 75
- 32.9°, I 87
- 33.3°, I 53
- 34.1°, I 62
- 40.1°, I 37
- 58.3°, I 37

No. 2
For CoH12Cl2O6, a structure optimized by DFT (GGA+U) gives the calculated powder XRD pattern in this record (CuKα).
Kinematic intensities with the Lorentz-polarization factor, no thermal factor.

Cell and atoms:
Lattice parameters (Å, degrees): 6.2910 6.9330 9.7717 91.50 95.99 94.94
Sites, in units of the cell vectors:
Co 0.0000 0.0000 0.0000
Co 0.5000 0.5000 0.5000
H 0.0021 0.3698 0.8172
H 0.0158 0.4516 0.2815
H 0.0647 0.0521 0.2758
H 0.1332 0.6565 0.9299
H 0.1659 0.7199 0.4926
H 0.1757 0.0347 0.7616
H 0.3257 0.4598 0.7388
H 0.3350 0.7818 0.0059
H 0.3671 0.8455 0.5693
H 0.4364 0.4479 0.2234
H 0.4852 0.0488 0.2183
H 0.4963 0.1310 0.6839
H 0.5037 0.8690 0.3161
H 0.5148 0.9512 0.7817
H 0.5636 0.5521 0.7766
H 0.6329 0.1545 0.4307
H 0.6650 0.2182 0.9941
H 0.6743 0.5402 0.2612
H 0.8243 0.9653 0.2384
H 0.8341 0.2801 0.5074
H 0.8668 0.3435 0.0701
H 0.9353 0.9479 0.7242
H 0.9842 0.5484 0.7185
H 0.9979 0.6302 0.1828
Cl 0.1646 0.2865 0.4375
Cl 0.3369 0.2124 0.0624
Cl 0.6631 0.7876 0.9376
Cl 0.8354 0.7135 0.5625
O 0.0273 0.0381 0.7898
O 0.0776 0.4917 0.7927
O 0.1778 0.7568 0.0052
O 0.3232 0.7440 0.4945
O 0.4217 0.0080 0.7072
O 0.4743 0.4598 0.7110
O 0.5257 0.5402 0.2890
O 0.5783 0.9920 0.2928
O 0.6768 0.2560 0.5055
O 0.8222 0.2432 0.9948
O 0.9224 0.5083 0.2073
O 0.9727 0.9619 0.2102

Principal peaks in the range 10° ≤ 2θ ≤ 80°, by angle:
- 15.5°, I 97
- 16.0°, I 74
- 18.3°, I 100
- 25.2°, I 39
- 29.7°, I 37
- 30.1°, I 89
- 32.4°, I 35
- 32.8°, I 56
- 37.1°, I 46
- 47.5°, I 42

No. 3
For Ti3Fe9O16, a structure optimized by DFT (GGA+U) gives the calculated powder XRD pattern in this record (CuKα).
Kinematic intensities with the Lorentz-polarization factor, no thermal factor.

Cell and atoms:
Lattice parameters (Å, degrees): 8.6450 12.1907 6.1287 90.00 90.00 90.00
Sites, in units of the cell vectors:
Ti 0.0000 0.0000 0.0000
Ti 0.0006 0.2521 0.0000
Ti 0.4994 0.7521 0.5000
Ti 0.5000 0.5000 0.5000
Ti 0.5006 0.2479 0.5000
Ti 0.9994 0.7479 0.0000
Fe 0.0000 0.5000 0.0000
Fe 0.1318 0.3724 0.5000
Fe 0.1341 0.8758 0.5000
Fe 0.2486 0.6240 0.2493
Fe 0.2486 0.6240 0.7507
Fe 0.2514 0.1240 0.2507
Fe 0.2514 0.1240 0.7493
Fe 0.3659 0.3758 0.0000
Fe 0.3682 0.8724 0.0000
Fe 0.5000 0.0000 0.5000
Fe 0.6318 0.1276 0.0000
Fe 0.6341 0.6242 0.0000
Fe 0.7486 0.8760 0.2507
Fe 0.7486 0.8760 0.7493
Fe 0.7514 0.3760 0.2493
Fe 0.7514 0.3760 0.7507
Fe 0.8659 0.1242 0.5000
Fe 0.8682 0.6276 0.5000
O 0.0011 0.8780 0.2160
O 0.0011 0.8780 0.7840
O 0.0066 0.3596 0.2393
O 0.0066 0.3596 0.7607
O 0.2272 0.7518 0.0000
O 0.2292 0.2375 0.0000
O 0.2343 0.9979 0.0000
O 0.2359 0.5137 0.0000
O 0.2641 0.0137 0.5000
O 0.2657 0.4979 0.5000
O 0.2708 0.7375 0.5000
O 0.2728 0.2518 0.5000
O 0.4934 0.8596 0.2607
O 0.4934 0.8596 0.7393
O 0.4989 0.3780 0.2840
O 0.4989 0.3780 0.7160
O 0.5011 0.6220 0.2840
O 0.5011 0.6220 0.7160
O 0.5066 0.1404 0.2607
O 0.5066 0.1404 0.7393
O 0.7272 0.7482 0.5000
O 0.7292 0.2625 0.5000
O 0.7343 0.5021 0.5000
O 0.7359 0.9863 0.5000
O 0.7641 0.4863 0.0000
O 0.7657 0.0021 0.0000
O 0.7708 0.7625 0.0000
O 0.7728 0.2482 0.0000
O 0.9934 0.6404 0.2393
O 0.9934 0.6404 0.7607
O 0.9989 0.1220 0.2160
O 0.9989 0.1220 0.7840

Principal peaks in the range 10° ≤ 2θ ≤ 80°, by angle:
- 17.8°, I 10
- 29.2°, I 34
- 34.4°, I 100
- 34.5°, I 41
- 41.8°, I 27
- 55.2°, I 23
- 55.3°, I 21
- 60.4°, I 11
- 60.6°, I 42
- 60.8°, I 10